Entry 1:
Simulated powder X-ray diffraction pattern
Compound: LiScBi2B
Radiation: λ = 1.5418 Å (Cu Kα)
Structure: a DFT-relaxed cell (GGA-PBE, Alexandria)
Intensities are scaled so that the largest is 100.

Most intense lines, 10° ≤ 2θ ≤ 90°, by intensity:
h k l, Position (°2θ), Rel. int.
1 1 1, 32.60, 100
1 1 0, 24.32, 62
0 0 1, 21.38, 46
2 0 0, 34.67, 46
2 0 1, 41.09, 36
3 1 1, 60.83, 35
2 0 2, 56.83, 22
1 1 2, 50.51, 19
2 2 0, 49.84, 17
2 2 1, 54.82, 16

Lattice parameters (Å, degrees): 5.1750 5.1750 4.1560 90.00 90.00 90.00
Space group P4/mmm (No. 123)
Inequivalent atoms, fractional coordinates:
Li  0.0000  0.0000  0.0000
Sc  0.5000  0.5000  0.0000
Bi  0.0000  0.5000  0.5000
B  0.0000  0.0000  0.5000



Entry 2:
Simulated powder X-ray diffraction pattern
Compound: LaPuHg5
Radiation: λ = 1.5418 Å (Cu Kα)
Structure: a DFT-relaxed cell (GGA-PBE, Alexandria)
Intensities are scaled so that the largest is 100.

Most intense lines, 10° ≤ 2θ ≤ 90°, by intensity:
h k l, Position (°2θ), Rel. int.
1 1 2, 33.68, 100
0 2 0, 34.84, 25
2 2 0, 54.91, 24
1 3 2, 61.73, 18
2 0 0, 41.01, 16
3 1 2, 70.04, 12
0 0 4, 41.11, 12
2 0 4, 59.46, 10
2 2 4, 70.81, 10
1 1 6, 70.18, 7

Lattice parameters (Å, degrees): 4.4016 5.1499 8.7821 90.00 90.00 90.00
Space group Pmmm (No. 47)
Inequivalent atoms, fractional coordinates:
La  0.0000  0.0000  0.0000
Pu  0.5000  0.5000  0.5000
Hg  0.0000  0.5000  0.2466
Hg  0.5000  0.0000  0.2892
Hg  0.5000  0.5000  0.0000